(1)
This entry pairs a crystal structure of Mg2Mn2Se5 with its calculated powder X-ray diffraction pattern. Radiation: Cu Kα (weighted mean of Kα1 and Kα2). Structure: DFT lattice parameters and positions (PBE).
Peak positions follow from Bragg's law for the DFT cell and can differ from measured ones.

Crystal structure
```
Mg2Mn2Se5
1.0
2.110 1.218 14.308
-2.110 1.218 14.308
0.000 -2.436 14.308
Mg Mn Se
2 2 5
direct
0.000 0.000 0.000
0.155 0.155 0.155
0.578 0.578 0.578
0.744 0.744 0.744
0.078 0.078 0.078
0.216 0.216 0.216
0.685 0.685 0.685
0.804 0.804 0.804
0.939 0.939 0.939
```

Top 10 peaks for 2θ from 5° to 70°, in order of falling intensity:
Position (°2θ)	I_rel
42.87	100
29.58	74
24.45	53
54.00	43
24.71	36
38.32	35
31.26	35
12.37	35
28.43	33
43.57	23



(2)
This entry pairs a crystal structure of K4Pu3PtO12 with its calculated powder X-ray diffraction pattern. Radiation: Cu Kα (weighted mean of Kα1 and Kα2). Structure: DFT lattice parameters and positions (PBE).
Peak positions follow from Bragg's law for the DFT cell and can differ from measured ones.

Crystal structure
```
K4Pu3PtO12
1.0
-4.203 4.203 4.203
4.203 -4.203 4.203
4.203 4.203 -4.203
K Pu Pt O
4 3 1 12
direct
0.000 0.000 0.500
0.000 0.500 0.000
0.500 0.000 0.000
0.500 0.500 0.500
0.000 0.500 0.500
0.500 0.000 0.500
0.500 0.500 0.000
0.000 0.000 0.000
0.000 0.251 0.251
0.000 0.749 0.749
0.250 0.500 0.750
0.250 0.750 0.500
0.251 0.000 0.251
0.251 0.251 0.000
0.500 0.250 0.750
0.500 0.750 0.250
0.749 0.000 0.749
0.749 0.749 0.000
0.750 0.250 0.500
0.750 0.500 0.250
```

Top 10 peaks for 2θ from 5° to 70°, in order of falling intensity:
Position (°2θ)	I_rel
30.07	100
21.14	76
53.40	41
48.43	36
43.05	30
62.51	19
66.78	18
37.05	11
14.91	1
25.97	1